[1]
Theoretical XRD peak list
Compound: GdThO3
Radiation: Cu Kα (weighted mean of Kα1 and Kα2)
Structure: a structure optimized by DFT (GGA-PBE)
Peak positions follow from Bragg's law for the DFT cell and can differ from measured ones.

Peak list (10 most intense, 15° ≤ 2θ ≤ 90°, by angle)
| 2θ/deg | I_rel | (hkl) |
| --- | --- | --- |
| 19.3 | 6 | 1 0 0 |
| 27.5 | 100 | 1 1 0 |
| 39.3 | 28 | 2 0 0 |
| 44.1 | 3 | 2 1 0 |
| 48.6 | 44 | 2 1 1 |
| 56.7 | 18 | 2 2 0 |
| 64.2 | 19 | 3 1 0 |
| 71.2 | 6 | 2 2 2 |
| 77.9 | 23 | 3 2 1 |
| 84.4 | 3 | 4 0 0 |

Crystal structure
Lattice parameters (Å, degrees): 4.5889 4.5889 4.5889 90.00 90.00 90.00
Space group Pm-3m (No. 221)
Asymmetric unit:
Gd (0.0000, 0.0000, 0.0000) x1
Th (0.5000, 0.5000, 0.5000) x1
O (0.0000, 0.5000, 0.5000) x3

***

[2]
Theoretical XRD peak list
Compound: GdTiO3
Radiation: Cu Kα (weighted mean of Kα1 and Kα2)
Structure: a structure optimized by DFT (GGA-PBE)
Peak positions follow from Bragg's law for the DFT cell and can differ from measured ones.

Peak list (10 most intense, 15° ≤ 2θ ≤ 90°, by angle)
| 2θ/deg | I_rel | (hkl) |
| --- | --- | --- |
| 22.6 | 27 | 1 0 1 |
| 23.0 | 18 | 0 2 0 |
| 25.4 | 26 | 1 1 1 |
| 31.4 | 17 | 2 0 0 |
| 32.5 | 100 | 1 2 1 |
| 33.1 | 25 | 0 0 2 |
| 33.5 | 17 | 2 1 0 |
| 46.2 | 17 | 2 0 2 |
| 52.3 | 23 | 3 1 1 |
| 58.7 | 22 | 1 2 3 |

Crystal structure
Lattice parameters (Å, degrees): 5.7062 7.7467 5.4119 90.00 90.00 90.00
Space group Pnma (No. 62)
Asymmetric unit:
Gd (0.0691, 0.2500, 0.0184) x4
Ti (0.0000, 0.0000, 0.5000) x4
O (0.0323, 0.7500, 0.3947) x4
O (0.2000, 0.5526, 0.8053) x8

***

[3]
Theoretical XRD peak list
Compound: Gd2Ti2O7
Radiation: Cu Kα (weighted mean of Kα1 and Kα2)
Structure: a structure optimized by DFT (GGA-PBE)
Peak positions follow from Bragg's law for the DFT cell and can differ from measured ones.

Peak list (10 most intense, 15° ≤ 2θ ≤ 90°, by angle)
| 2θ/deg | I_rel | (hkl) |
| --- | --- | --- |
| 28.9 | 16 | 3 1 1 |
| 30.2 | 100 | 2 2 2 |
| 35.0 | 29 | 4 0 0 |
| 38.2 | 21 | 3 3 1 |
| 46.0 | 10 | 5 1 1 |
| 50.3 | 48 | 4 4 0 |
| 59.8 | 41 | 6 2 2 |
| 62.8 | 10 | 4 4 4 |
| 81.9 | 17 | 6 6 2 |
| 84.5 | 14 | 8 4 0 |

Crystal structure
Lattice parameters (Å, degrees): 10.2578 10.2578 10.2578 90.00 90.00 90.00
Space group Fd-3m (No. 227, origin choice 2)
Asymmetric unit:
Gd (0.0000, 0.0000, 0.0000) x16
Ti (0.0000, 0.0000, 0.5000) x16
O (0.0778, 0.3750, 0.8750) x48
O (0.1250, 0.1250, 0.1250) x8